# 1
# MnTc2Pt
Theoretical powder X-ray diffraction pattern, a wavelength of 1.5418 Å. Input: a GGA-PBE-relaxed structure.
Kinematic intensities with the Lorentz-polarization factor, no thermal factor.

Peak list (12 most intense, 2θ = 10–90°, in order of rising 2θ)
2theta	intensity
18.83	14
19.92	27
40.29	51
40.47	51
40.70	100
46.41	34
47.54	63
68.49	21
68.74	21
82.11	19
83.48	12
84.04	13

Cell and atoms:
```
MnTc2Pt
1.0
9.0339 0.0000 0.0000
0.0000 2.6903 0.0000
-0.7734 0.0000 4.7127
Mn Tc Pt
2 4 2
Direct
0.0000 0.0000 0.0000
0.5000 0.5000 0.0000
0.0005 0.5000 0.5107
0.2565 0.0000 0.7467
0.5005 0.0000 0.5107
0.7565 0.5000 0.7467
0.2520 0.5000 0.2428
0.7520 0.0000 0.2428
```

# 2
# Pr8Nd5Pu
Theoretical powder X-ray diffraction pattern, a wavelength of 1.5418 Å. Input: a GGA-PBE-relaxed structure.
Kinematic intensities with the Lorentz-polarization factor, no thermal factor.

Peak list (12 most intense, 2θ = 10–90°, in order of rising 2θ)
2theta	intensity
28.22	20
29.29	27
31.27	40
31.68	100
32.61	16
33.27	32
34.87	20
48.03	10
50.33	10
51.07	10
52.18	14
57.89	10

Cell and atoms:
```
Pr8Nd5Pu
1.0
7.4537 -4.4253 0.0000
7.4537 4.4253 0.0000
-6.0672 0.0000 7.6355
Pr Nd Pu
8 5 1
Direct
0.0410 0.0410 0.1993
0.1361 0.4759 0.5450
0.4356 0.0638 0.1598
0.4588 0.2215 0.8763
0.5241 0.8639 0.4550
0.7785 0.5412 0.1237
0.9362 0.5644 0.8402
0.9590 0.9590 0.8007
0.2332 0.5611 0.2572
0.4389 0.7668 0.7428
0.6092 0.3030 0.6321
0.6970 0.3908 0.3679
0.9891 0.0109 0.5000
0.3297 0.6703 0.0000
```

# 3
# U5Te2Se5
Theoretical powder X-ray diffraction pattern, a wavelength of 1.5418 Å. Input: a GGA-PBE-relaxed structure.
Kinematic intensities with the Lorentz-polarization factor, no thermal factor.

Peak list (12 most intense, 2θ = 10–90°, in order of rising 2θ)
2theta	intensity
21.36	46
23.08	64
23.75	33
30.50	75
32.14	79
32.28	100
32.93	28
36.15	25
38.63	95
44.82	25
45.67	32
46.51	42

Cell and atoms:
```
U5Te2Se5
1.0
6.7541 -1.9527 0.0000
6.7541 1.9527 0.0000
-2.3825 0.0000 12.4201
U Te Se
5 2 5
Direct
0.0000 0.0000 0.0000
0.1389 0.1389 0.4477
0.2928 0.2928 0.1725
0.7072 0.7072 0.8275
0.8611 0.8611 0.5523
0.0236 0.0236 0.7691
0.9764 0.9764 0.2309
0.2646 0.2646 0.6679
0.3447 0.3447 0.9509
0.5000 0.5000 0.5000
0.6553 0.6553 0.0491
0.7354 0.7354 0.3321
```

# 4
# Tb7AsS5
Theoretical powder X-ray diffraction pattern, a wavelength of 1.5418 Å. Input: a GGA-PBE-relaxed structure.
Kinematic intensities with the Lorentz-polarization factor, no thermal factor.

Peak list (12 most intense, 2θ = 10–90°, in order of rising 2θ)
2theta	intensity
27.99	27
28.31	56
30.13	53
30.16	51
30.59	26
31.89	100
33.05	57
33.68	28
42.35	25
45.75	25
46.44	63
56.34	36

Cell and atoms:
```
Tb7AsS5
1.0
6.4353 -1.9566 0.0000
6.4353 1.9566 0.0000
-0.0184 0.0000 23.3800
Tb As S
14 2 10
Direct
0.0273 0.0273 0.2501
0.1384 0.1384 0.5376
0.1381 0.1381 0.9624
0.3102 0.3102 0.3226
0.3106 0.3106 0.1773
0.4102 0.4102 0.8866
0.4107 0.4107 0.6132
0.5893 0.5893 0.3868
0.5898 0.5898 0.1134
0.6894 0.6894 0.8227
0.6898 0.6898 0.6774
0.8619 0.8619 0.0376
0.8616 0.8616 0.4624
0.9727 0.9727 0.7499
0.3083 0.3083 0.7504
0.6917 0.6917 0.2496
0.0513 0.0513 0.6431
0.0508 0.0508 0.8570
0.2234 0.2234 0.0710
0.2232 0.2232 0.4289
0.5000 0.5000 0.0000
0.5000 0.5000 0.5000
0.7768 0.7768 0.5711
0.7766 0.7766 0.9290
0.9492 0.9492 0.1430
0.9487 0.9487 0.3569
```

# 5
# AcZnGa2Rh
Theoretical powder X-ray diffraction pattern, a wavelength of 1.5418 Å. Input: a GGA-PBE-relaxed structure.
Kinematic intensities with the Lorentz-polarization factor, no thermal factor.

Peak list (12 most intense, 2θ = 10–90°, in order of rising 2θ)
2theta	intensity
28.75	30
32.16	73
33.28	100
40.95	27
41.27	26
46.90	37
53.03	17
53.23	19
59.54	18
64.00	18
64.19	13
69.71	16

Cell and atoms:
```
AcZnGa2Rh
1.0
4.3748 0.0000 0.0000
0.0000 4.4079 0.0000
0.0000 0.0000 10.7957
Ac Zn Ga Rh
2 2 4 2
Direct
0.0000 0.0000 0.0000
0.5000 0.5000 0.5000
0.0000 0.5000 0.7470
0.5000 0.0000 0.2470
0.0000 0.0000 0.3862
0.0000 0.5000 0.2413
0.5000 0.0000 0.7413
0.5000 0.5000 0.8862
0.0000 0.0000 0.6176
0.5000 0.5000 0.1176
```

# 6
# Ba5W
Theoretical powder X-ray diffraction pattern, a wavelength of 1.5418 Å. Input: a GGA-PBE-relaxed structure.
Kinematic intensities with the Lorentz-polarization factor, no thermal factor.

Peak list (12 most intense, 2θ = 10–90°, in order of rising 2θ)
2theta	intensity
12.94	21
25.09	53
26.28	63
27.22	94
29.09	100
33.45	27
39.48	24
39.90	17
43.62	21
49.32	20
51.64	22
61.87	20

Cell and atoms:
```
Ba5W
1.0
14.9290 0.0000 0.0000
0.0000 4.1500 0.0000
-4.2721 0.0000 9.7928
Ba W
10 2
Direct
0.0000 0.0000 0.0000
0.1243 0.5000 0.3784
0.1630 0.5000 0.7696
0.3370 0.0000 0.2304
0.3757 0.0000 0.6216
0.5000 0.5000 0.0000
0.6243 0.0000 0.3784
0.6630 0.0000 0.7696
0.8370 0.5000 0.2304
0.8757 0.5000 0.6216
0.0000 0.0000 0.5000
0.5000 0.5000 0.5000
```

# 7
# Zn2GeMo2
Theoretical powder X-ray diffraction pattern, a wavelength of 1.5418 Å. Input: a GGA-PBE-relaxed structure.
Kinematic intensities with the Lorentz-polarization factor, no thermal factor.

Peak list (12 most intense, 2θ = 10–90°, in order of rising 2θ)
2theta	intensity
19.40	5
22.29	13
35.73	11
38.43	100
44.26	34
45.48	20
50.10	8
56.20	7
63.72	6
65.33	20
79.27	15
84.14	14

Cell and atoms:
```
Zn2GeMo2
1.0
6.4711 0.0000 0.0000
0.0000 6.4711 0.0000
0.0000 0.0000 3.9889
Zn Ge Mo
4 2 4
Direct
0.1605 0.3395 0.0000
0.3395 0.8395 0.0000
0.6605 0.1605 0.0000
0.8395 0.6605 0.0000
0.0000 0.0000 0.5000
0.5000 0.5000 0.5000
0.1369 0.6369 0.5000
0.3631 0.1369 0.5000
0.6369 0.8631 0.5000
0.8631 0.3631 0.5000
```

# 8
# Y12HoTm5
Theoretical powder X-ray diffraction pattern, a wavelength of 1.5418 Å. Input: a GGA-PBE-relaxed structure.
Kinematic intensities with the Lorentz-polarization factor, no thermal factor.

Peak list (12 most intense, 2θ = 10–90°, in order of rising 2θ)
2theta	intensity
10.26	41
29.80	44
30.26	46
31.12	70
32.17	100
33.85	90
36.89	26
38.02	24
51.35	51
54.92	21
61.27	60
87.18	27

Cell and atoms:
```
Y12HoTm5
1.0
3.0819 -5.3386 0.0000
3.0819 5.3386 0.0000
-2.0522 0.0000 17.2460
Y Ho Tm
12 1 5
Direct
0.0546 0.3883 0.1656
0.1109 0.1109 0.3335
0.2224 0.5558 0.6665
0.2791 0.2791 0.8344
0.3883 0.0546 0.1656
0.4442 0.7776 0.3335
0.5558 0.2224 0.6665
0.6117 0.9454 0.8344
0.7209 0.7209 0.1656
0.7776 0.4442 0.3335
0.8891 0.8891 0.6665
0.9454 0.6117 0.8344
0.0000 0.0000 0.0000
0.1666 0.8334 0.5000
0.3333 0.6667 0.0000
0.5000 0.5000 0.5000
0.6667 0.3333 0.0000
0.8334 0.1666 0.5000
```